Computed powder diffraction line list
Compound: SmY2Ga2Ag2
Radiation: copper Kα
Structure: the PBE geometry in Alexandria

Top 8 peaks for 2θ = 10–90°, low angle first:
d/Å	2theta	I/Imax
3.227	27.64	24
2.791	32.07	57
2.594	34.57	78
2.313	38.94	100
1.726	53.04	23
1.428	65.33	31
1.384	67.73	21
1.335	70.52	16

Structure:
abc: 9.4641 9.4641 9.4641
angles: 28.29 28.29 28.29
Atoms (fractional coordinates):
Sm1 0.0000 0.0000 0.0000
Y1 0.1260 0.1260 0.1260
Y2 0.8740 0.8740 0.8740
Ga1 0.2570 0.2570 0.2570
Ga2 0.7430 0.7430 0.7430
Ag1 0.4010 0.4010 0.4010
Ag2 0.5990 0.5990 0.5990

***

Computed powder diffraction line list
Compound: La4GeSb2
Radiation: copper Kα
Structure: the PBE geometry in Alexandria

Top 8 peaks for 2θ = 10–90°, low angle first:
d/Å	2theta	I/Imax
3.784	23.51	11
3.281	27.18	11
2.747	32.60	100
2.699	33.19	21
2.653	33.79	26
1.892	48.09	15
1.567	58.92	11
1.549	59.69	17

Structure:
abc: 5.3053 6.7153 6.7153
angles: 107.01 90.00 90.00
Atoms (fractional coordinates):
La1 0.0000 0.0000 0.0000
La2 0.0000 0.4253 0.4253
La3 0.5000 0.2137 0.7137
La4 0.5000 0.7137 0.2137
Ge1 0.5000 0.2129 0.2129
Sb1 0.0000 0.4998 0.9264
Sb2 0.0000 0.9264 0.4998

***

Computed powder diffraction line list
Compound: BaLiBeAs2
Radiation: copper Kα
Structure: the PBE geometry in Alexandria

Top 8 peaks for 2θ = 10–90°, low angle first:
d/Å	2theta	I/Imax
6.056	14.63	13
2.954	30.26	54
2.903	30.80	100
2.655	33.76	12
2.096	43.17	14
2.088	43.32	23
1.695	54.10	40
1.667	55.11	15

Structure:
abc: 6.7380 6.7380 6.7380
angles: 143.89 143.89 52.00
Atoms (fractional coordinates):
Ba1 0.0000 0.0000 0.0000
Li1 0.2500 0.7500 0.5000
Be1 0.7500 0.2500 0.5000
As1 0.3566 0.3566 0.0000
As2 0.6434 0.6434 0.0000

***

Computed powder diffraction line list
Compound: AlP3O9
Radiation: copper Kα
Structure: the PBE geometry in Alexandria

Top 8 peaks for 2θ = 10–90°, low angle first:
d/Å	2theta	I/Imax
5.947	14.90	11
5.539	16.00	100
5.183	17.11	24
4.470	19.86	21
3.824	23.26	17
3.551	25.08	17
2.919	30.63	13
2.852	31.36	12

Structure:
abc: 6.1576 15.2999 8.3015
angles: 90.00 105.04 90.00
Atoms (fractional coordinates):
Al1 0.1157 0.1375 0.3751
Al2 0.1157 0.3625 0.8751
Al3 0.8843 0.6375 0.1249
Al4 0.8843 0.8625 0.6249
P1 0.1455 0.0440 0.7183
P2 0.1455 0.4560 0.2183
P3 0.2028 0.1636 0.0162
P4 0.2028 0.3364 0.5162
P5 0.4148 0.6129 0.2119
P6 0.4148 0.8871 0.7119
P7 0.5852 0.1129 0.2881
P8 0.5852 0.3871 0.7881
P9 0.7972 0.6636 0.4838
P10 0.7972 0.8364 0.9838
P11 0.8545 0.5440 0.7817
P12 0.8545 0.9560 0.2817
O1 0.0546 0.0152 0.3357
O2 0.0546 0.4848 0.8357
O3 0.0671 0.1548 0.1411
O4 0.0671 0.3452 0.6411
O5 0.1502 0.0780 0.9010
O6 0.1502 0.4220 0.4010
O7 0.1655 0.1197 0.6088
O8 0.1655 0.3803 0.1088
O9 0.1761 0.2426 0.9086
O10 0.1761 0.2574 0.4086
O11 0.1939 0.6579 0.1471
O12 0.1939 0.8421 0.6471
O13 0.3750 0.5123 0.2560
O14 0.3750 0.9877 0.7560
O15 0.4235 0.1150 0.3948
O16 0.4235 0.3850 0.8948
O17 0.4676 0.1525 0.1062
O18 0.4676 0.3475 0.6062
O19 0.5324 0.6525 0.3938
O20 0.5324 0.8475 0.8938
O21 0.5765 0.6150 0.1052
O22 0.5765 0.8850 0.6052
O23 0.6250 0.0123 0.2440
O24 0.6250 0.4877 0.7440
O25 0.8061 0.1579 0.3529
O26 0.8061 0.3421 0.8529
O27 0.8239 0.7426 0.5914
O28 0.8239 0.7574 0.0914
O29 0.8345 0.6197 0.8912
O30 0.8345 0.8803 0.3912
O31 0.8498 0.5780 0.5990
O32 0.8498 0.9220 0.0990
O33 0.9329 0.6548 0.3589
O34 0.9329 0.8452 0.8589
O35 0.9454 0.5152 0.1643
O36 0.9454 0.9848 0.6643

***

Computed powder diffraction line list
Compound: Ac5InRh2
Radiation: copper Kα
Structure: the PBE geometry in Alexandria

Top 8 peaks for 2θ = 10–90°, low angle first:
d/Å	2theta	I/Imax
3.654	24.36	29
3.153	28.31	28
3.000	29.78	100
2.787	32.12	38
2.665	33.63	62
2.334	38.58	25
1.752	52.21	23
1.524	60.78	21

Structure:
abc: 9.5253 9.5253 9.5253
angles: 127.48 127.48 77.46
Atoms (fractional coordinates):
Ac1 0.0000 0.0000 0.0000
Ac2 0.0282 0.5282 0.8227
Ac3 0.2055 0.0282 0.5000
Ac4 0.2945 0.7945 0.8227
Ac5 0.4718 0.2945 0.5000
Ac6 0.5000 0.5000 0.0000
Ac7 0.5282 0.7055 0.5000
Ac8 0.7055 0.2055 0.1773
Ac9 0.7945 0.9718 0.5000
Ac10 0.9718 0.4718 0.1773
In1 0.2500 0.2500 0.0000
In2 0.7500 0.7500 0.0000
Rh1 0.1401 0.3599 0.5000
Rh2 0.3599 0.8599 0.2199
Rh3 0.6401 0.1401 0.7801
Rh4 0.8599 0.6401 0.5000

***

Computed powder diffraction line list
Compound: Sr2Te3
Radiation: copper Kα
Structure: the PBE geometry in Alexandria

Top 8 peaks for 2θ = 10–90°, low angle first:
d/Å	2theta	I/Imax
4.291	20.70	19
3.126	28.55	49
3.080	28.99	100
2.948	30.32	41
2.786	32.13	33
2.739	32.70	34
1.960	46.31	16
1.796	50.84	16

Structure:
abc: 9.8709 6.2537 9.9139
angles: 71.20 36.85 71.95
Atoms (fractional coordinates):
Sr1 0.2958 0.7042 0.3101
Sr2 0.5601 0.9399 0.5458
Sr3 0.7042 0.2958 0.6899
Sr4 0.9399 0.5601 0.9542
Te1 0.1108 0.6872 0.1144
Te2 0.1356 0.1624 0.1392
Te3 0.1624 0.1356 0.5628
Te4 0.4926 0.4926 0.5074
Te5 0.6872 0.1108 0.0876
Te6 0.7426 0.7426 0.7574

***

Computed powder diffraction line list
Compound: CsTlAg
Radiation: copper Kα
Structure: the PBE geometry in Alexandria

Top 8 peaks for 2θ = 10–90°, low angle first:
d/Å	2theta	I/Imax
8.309	10.65	100
3.444	25.87	41
3.391	26.28	65
3.183	28.04	31
2.798	31.99	44
2.524	35.57	33
2.476	36.29	31
2.415	37.23	50

Structure:
abc: 4.9513 5.8680 8.3091
angles: 90.00 90.00 90.00
Atoms (fractional coordinates):
Cs1 0.0000 0.0000 0.0000
Cs2 0.5000 0.5000 0.3034
Tl1 0.0000 0.0000 0.5062
Tl2 0.0000 0.5000 0.7088
Ag1 0.5000 0.2408 0.6972
Ag2 0.5000 0.7592 0.6972

***

Computed powder diffraction line list
Compound: Cs2Mn3Cl10
Radiation: copper Kα
Structure: the PBE geometry in Alexandria

Top 8 peaks for 2θ = 10–90°, low angle first:
d/Å	2theta	I/Imax
4.231	21.00	42
4.182	21.25	72
4.090	21.73	58
3.880	22.92	55
2.946	30.34	95
2.868	31.19	36
2.674	33.51	100
1.826	49.95	42

Structure:
abc: 12.2163 12.2163 10.4076
angles: 109.02 109.02 35.17
Atoms (fractional coordinates):
Cs1 0.1194 0.1194 0.2445
Cs2 0.2213 0.2213 0.7986
Cs3 0.7787 0.7787 0.2014
Cs4 0.8806 0.8806 0.7555
Mn1 0.2438 0.7562 0.5000
Mn2 0.3212 0.3212 0.4828
Mn3 0.4321 0.4321 0.0565
Mn4 0.5679 0.5679 0.9435
Mn5 0.6788 0.6788 0.5172
Mn6 0.7562 0.2438 0.5000
Cl1 0.0000 0.5000 0.5000
Cl2 0.0183 0.0183 0.6709
Cl3 0.1385 0.5907 0.0330
Cl4 0.1509 0.6325 0.4672
Cl5 0.2742 0.2742 0.2523
Cl6 0.2929 0.7071 0.0000
Cl7 0.3614 0.3614 0.7148
Cl8 0.3675 0.8491 0.5328
Cl9 0.4093 0.8615 0.9670
Cl10 0.4827 0.4827 0.3178
Cl11 0.5000 0.0000 0.5000
Cl12 0.5173 0.5173 0.6822
Cl13 0.5907 0.1385 0.0330
Cl14 0.6325 0.1509 0.4672
Cl15 0.6386 0.6386 0.2852
Cl16 0.7071 0.2929 0.0000
Cl17 0.7258 0.7258 0.7477
Cl18 0.8491 0.3675 0.5328
Cl19 0.8615 0.4093 0.9670
Cl20 0.9817 0.9817 0.3291

***

Computed powder diffraction line list
Compound: K2CdIn6
Radiation: copper Kα
Structure: the PBE geometry in Alexandria

Top 8 peaks for 2θ = 10–90°, low angle first:
d/Å	2theta	I/Imax
6.778	13.06	17
4.454	19.94	14
2.950	30.30	17
2.711	33.04	100
2.259	39.90	16
2.238	40.30	36
2.208	40.87	14
1.702	53.86	22

Structure:
abc: 6.8077 6.8077 6.7787
angles: 90.53 90.53 60.68
Atoms (fractional coordinates):
K1 0.1654 0.1654 0.3621
K2 0.8346 0.8346 0.6379
Cd1 0.5000 0.5000 0.5000
In1 0.1452 0.6739 0.1589
In2 0.3241 0.3241 0.8320
In3 0.3261 0.8548 0.8411
In4 0.6739 0.1452 0.1589
In5 0.6759 0.6759 0.1680
In6 0.8548 0.3261 0.8411

***

Computed powder diffraction line list
Compound: Hf6Hg2Pb
Radiation: copper Kα
Structure: the PBE geometry in Alexandria

Top 8 peaks for 2θ = 10–90°, low angle first:
d/Å	2theta	I/Imax
2.779	32.21	33
2.632	34.07	33
2.607	34.40	24
2.512	35.74	100
2.483	36.17	57
2.435	36.91	34
2.414	37.25	72
2.386	37.70	22

Structure:
abc: 8.4826 8.4826 5.7881
angles: 94.95 94.95 98.90
Atoms (fractional coordinates):
Hf1 0.0621 0.4363 0.2328
Hf2 0.1822 0.7681 0.5049
Hf3 0.2319 0.8178 0.9951
Hf4 0.2483 0.4600 0.7302
Hf5 0.4363 0.0621 0.7328
Hf6 0.4600 0.2483 0.2302
Hf7 0.5400 0.7517 0.7698
Hf8 0.5637 0.9379 0.2672
Hf9 0.7517 0.5400 0.2698
Hf10 0.7681 0.1822 0.0049
Hf11 0.8178 0.2319 0.4951
Hf12 0.9379 0.5637 0.7672
Hg1 0.1168 0.1494 0.8976
Hg2 0.1494 0.1168 0.3976
Hg3 0.8506 0.8832 0.6024
Hg4 0.8832 0.8506 0.1024
Pb1 0.4112 0.5888 0.2500
Pb2 0.5888 0.4112 0.7500

***

Computed powder diffraction line list
Compound: CaCd2Ir4
Radiation: copper Kα
Structure: the PBE geometry in Alexandria

Top 8 peaks for 2θ = 10–90°, low angle first:
d/Å	2theta	I/Imax
3.401	26.20	16
3.042	29.36	80
2.405	37.40	100
2.372	37.93	43
1.700	53.95	23
1.688	54.34	30
1.651	55.67	15
1.484	62.61	20

Structure:
abc: 7.6177 7.6177 7.6177
angles: 143.22 143.22 53.00
Atoms (fractional coordinates):
Ca1 0.0000 0.0000 0.0000
Cd1 0.3837 0.3837 0.0000
Cd2 0.6163 0.6163 0.0000
Ir1 0.0000 0.5000 0.5000
Ir2 0.1904 0.1904 0.0000
Ir3 0.5000 0.0000 0.5000
Ir4 0.8096 0.8096 0.0000

***

Computed powder diffraction line list
Compound: K2TlSbCl8
Radiation: copper Kα
Structure: the PBE geometry in Alexandria

Top 8 peaks for 2θ = 10–90°, low angle first:
d/Å	2theta	I/Imax
7.599	11.65	100
5.632	15.74	83
4.977	17.82	47
4.035	22.03	47
3.800	23.41	36
3.723	23.90	55
2.969	30.10	55
2.914	30.68	33

Structure:
abc: 6.0934 7.7526 9.2767
angles: 79.92 71.85 81.81
Atoms (fractional coordinates):
K1 0.1375 0.0297 0.1941
K2 0.8625 0.9703 0.8059
Tl1 0.5000 0.5000 0.0000
Sb1 0.0000 0.5000 0.5000
Cl1 0.0495 0.5454 0.7410
Cl2 0.2191 0.2158 0.5109
Cl3 0.3367 0.8756 0.8925
Cl4 0.3472 0.6398 0.3588
Cl5 0.6528 0.3602 0.6412
Cl6 0.6633 0.1244 0.1075
Cl7 0.7809 0.7842 0.4891
Cl8 0.9505 0.4546 0.2590

***

Repeat the first record exactly.
Computed powder diffraction line list
Compound: SmY2Ga2Ag2
Radiation: copper Kα
Structure: the PBE geometry in Alexandria

Top 8 peaks for 2θ = 10–90°, low angle first:
d/Å	2theta	I/Imax
3.227	27.64	24
2.791	32.07	57
2.594	34.57	78
2.313	38.94	100
1.726	53.04	23
1.428	65.33	31
1.384	67.73	21
1.335	70.52	16

Structure:
abc: 9.4641 9.4641 9.4641
angles: 28.29 28.29 28.29
Atoms (fractional coordinates):
Sm1 0.0000 0.0000 0.0000
Y1 0.1260 0.1260 0.1260
Y2 0.8740 0.8740 0.8740
Ga1 0.2570 0.2570 0.2570
Ga2 0.7430 0.7430 0.7430
Ag1 0.4010 0.4010 0.4010
Ag2 0.5990 0.5990 0.5990

***

Number 2 is which compound?
La4GeSb2